Starting from a structure optimized by DFT (GGA-PBE), the X-ray powder pattern of Tl2ZnCuCl6 was computed for λ = 1.5418 Å (Cu Kα).
Neutral-atom scattering factors, no anomalous dispersion.

Largest 10 diffraction maxima, low angle first, 10° ≤ 2θ ≤ 80°:
| d (Å) | 2θ (°) | I/Imax | index |
| --- | --- | --- | --- |
| 4.895 | 18.12 | 16 | 2 0 0 |
| 3.461 | 25.74 | 100 | 2 2 0 |
| 2.826 | 31.66 | 41 | 2 2 2 |
| 2.447 | 36.72 | 52 | 4 0 0 |
| 1.998 | 45.38 | 46 | 4 2 2 |
| 1.731 | 52.91 | 35 | 4 4 0 |
| 1.548 | 59.74 | 20 | 6 2 0 |
| 1.476 | 62.98 | 16 | 6 2 2 |
| 1.413 | 66.13 | 12 | 4 4 4 |
| 1.308 | 72.21 | 23 | 6 4 2 |

Structural model:
Unit cell a=9.7897 b=9.7897 c=9.7897 alpha=90.00 beta=90.00 gamma=90.00
Space group Fm-3m (No. 225)
Unique sites:
Tl  0.2500  0.2500  0.2500 x8
Zn  0.0000  0.0000  0.0000 x4
Cu  0.0000  0.0000  0.5000 x4
Cl  0.0000  0.0000  0.2513 x24